The following is a calculated PXRD pattern of LiAl4Cd2O8. It was derived from a structure optimized by DFT (PBE), using Cu Kα (weighted mean of Kα1 and Kα2).
Neutral-atom scattering factors, no anomalous dispersion.

Principal peaks in the range 2θ = 10–80°, in order of rising 2θ:
2θ/deg	d (Å)	intensity
16.70	5.310	21
28.44	3.139	51
30.36	2.944	65
34.85	2.575	100
35.66	2.518	24
43.55	2.078	17
46.04	1.972	29
53.99	1.698	35
56.88	1.619	24
63.18	1.472	31

Structural model:
abc: 5.8880 5.8880 15.9291
angles: 90.00 90.00 120.00
Space group R-3m (No. 166, hexagonal axes)
Asymmetric unit:
Li1 0.0000 0.0000 0.0000 [3 per cell]
Al1 0.0000 0.0000 0.5000 [3 per cell]
Al2 0.0000 0.5000 0.0000 [9 per cell]
Cd1 0.0000 0.0000 0.1499 [6 per cell]
O1 0.0000 0.0000 0.2816 [6 per cell]
O2 0.0397 0.5199 0.2589 [18 per cell]